For Ta3N, a PBE-relaxed structure gives the computed powder X-ray diffraction pattern in this record (Cu Kα).
Intensities are scaled so that the largest is 100.

Top 10 peaks for 10° ≤ 2θ ≤ 90°, by intensity:
2θ = 36.23°, d 2.479, I 100, hkl 1 0 1
2θ = 41.96°, d 2.153, I 74, hkl 0 1 2
2θ = 35.80°, d 2.508, I 34, hkl 0 0 3
2θ = 72.91°, d 1.297, I 27, hkl 1 1 3
2θ = 60.55°, d 1.529, I 25, hkl 1 0 4
2θ = 61.13°, d 1.516, I 24, hkl 1 1 0
2θ = 72.38°, d 1.306, I 13, hkl 0 1 5
2θ = 73.17°, d 1.293, I 13, hkl 0 2 1
2θ = 76.91°, d 1.240, I 12, hkl 2 0 2
2θ = 75.87°, d 1.254, I 4, hkl 0 0 6

Cell and atoms:
```
Ta3N
1.0
3.032 0.000 0.000
-1.516 2.626 0.000
0.000 0.000 7.524
Ta N
3 1
Cartesian
0.000 0.000 0.000
0.000 1.751 5.071
1.516 0.875 2.453
0.000 0.000 3.762
```